This entry pairs a crystal structure of Ac2Tb12Hg7 with its calculated X-ray diffraction stick pattern. Radiation: Cu Kα X-rays. Structure: a PBE-relaxed structure.
Neutral-atom scattering factors, no anomalous dispersion.

Largest 10 diffraction maxima, by angle, 2θ from 10° to 90°:
| d/Å | Rel. int. | (hkl) |
| --- | --- | --- |
| 3.024 | 10.9 | 4 0 0 |
| 2.890 | 100.0 | 1 2 1 |
| 2.775 | 29.5 | 3 2 0 |
| 2.738 | 17.7 | 3 0 1 |
| 2.640 | 47.2 | 1 4 0 |
| 2.549 | 11.2 | 2 2 1 |
| 2.494 | 24.9 | 1 3 1 |
| 1.864 | 14.9 | 0 0 2 |
| 1.548 | 12.1 | 3 2 2 |
| 1.523 | 21.7 | 1 4 2 |

Cell lengths 13.969, 13.969, 3.728 Å; angles 90.00, 90.00, 120.00 degrees
Fractional coordinates of all 21 atoms:
Ac  0.000  0.000  0.000
Ac  0.333  0.667  0.500
Tb  0.036  0.275  0.500
Tb  0.102  0.701  0.000
Tb  0.239  0.964  0.500
Tb  0.299  0.401  0.000
Tb  0.404  0.209  0.000
Tb  0.546  0.104  0.500
Tb  0.558  0.454  0.500
Tb  0.599  0.898  0.000
Tb  0.725  0.761  0.500
Tb  0.791  0.195  0.000
Tb  0.805  0.596  0.000
Tb  0.896  0.442  0.500
Hg  0.106  0.477  0.000
Hg  0.214  0.193  0.500
Hg  0.371  0.894  0.000
Hg  0.523  0.629  0.000
Hg  0.667  0.333  0.000
Hg  0.807  0.021  0.500
Hg  0.979  0.786  0.500